No. 1
Theoretical powder X-ray diffraction pattern of Fe3Mo6RhN2 for Cu Kα (λ = 1.5418 Å), from a PBE-relaxed structure.

Top 8 peaks for 2θ from 10° to 80°, in order of rising 2θ:
d = 2.232 Å, intensity 100
d = 2.226 Å, intensity 51
d = 2.118 Å, intensity 33
d = 2.114 Å, intensity 45
d = 2.020 Å, intensity 11
d = 2.017 Å, intensity 20
d = 1.314 Å, intensity 12
d = 1.312 Å, intensity 13

Crystal structure
Cell: 6.6752 6.6914 6.7004 Å, 90.00 90.24 90.00°
Fractional coordinates of all 24 atoms:
1 Fe 0.0635 0.0000 0.1712
2 Fe 0.1789 0.7511 0.9307
3 Fe 0.4237 0.8610 0.6942
4 Fe 0.5763 0.3610 0.3058
5 Fe 0.8211 0.2511 0.0693
6 Fe 0.9365 0.5000 0.8288
7 Mo 0.0520 0.8066 0.5467
8 Mo 0.1204 0.1347 0.8023
9 Mo 0.2013 0.3819 0.1234
10 Mo 0.2917 0.4808 0.6300
11 Mo 0.3723 0.7260 0.2952
12 Mo 0.4531 0.0546 0.0452
13 Mo 0.5469 0.5546 0.9548
14 Mo 0.6277 0.2260 0.7048
15 Mo 0.7083 0.9808 0.3700
16 Mo 0.7987 0.8819 0.8766
17 Mo 0.8796 0.6347 0.1977
18 Mo 0.9480 0.3066 0.4533
19 Rh 0.3160 0.1150 0.4333
20 Rh 0.6840 0.6150 0.5667
21 N 0.1240 0.5540 0.3765
22 N 0.3745 0.3046 0.8734
23 N 0.6255 0.8046 0.1266
24 N 0.8760 0.0540 0.6235


No. 2
Theoretical powder X-ray diffraction pattern of TbFe10Mo2N for Cu Kα (λ = 1.5418 Å), from a PBE-relaxed structure.

Top 8 peaks for 2θ from 10° to 80°, in order of rising 2θ:
d = 2.472 Å, intensity 32
d = 2.462 Å, intensity 30
d = 2.385 Å, intensity 22
d = 2.168 Å, intensity 34
d = 2.155 Å, intensity 21
d = 2.142 Å, intensity 100
d = 2.089 Å, intensity 74
d = 1.881 Å, intensity 21

Crystal structure
Cell: 6.5623 6.5623 6.5623 Å, 137.37 97.88 97.31°
Fractional coordinates of all 14 atoms:
1 Tb 0.0000 0.0000 0.0000
2 Fe 0.0000 0.0000 0.5000
3 Fe 0.0000 0.5000 0.0000
4 Fe 0.2198 0.7198 0.5000
5 Fe 0.2207 0.5000 0.7207
6 Fe 0.3596 0.3596 0.0000
7 Fe 0.5000 0.0000 0.0000
8 Fe 0.5000 0.5000 0.5000
9 Fe 0.6404 0.6404 0.0000
10 Fe 0.7793 0.5000 0.2793
11 Fe 0.7802 0.2802 0.5000
12 Mo 0.3586 0.0000 0.3586
13 Mo 0.6414 0.0000 0.6414
14 N 0.0000 0.5000 0.5000


No. 3
Theoretical powder X-ray diffraction pattern of TmFe10Mo2N for Cu Kα (λ = 1.5418 Å), from a PBE-relaxed structure.

Top 8 peaks for 2θ from 10° to 80°, in order of rising 2θ:
d = 2.472 Å, intensity 54
d = 2.452 Å, intensity 50
d = 2.372 Å, intensity 37
d = 2.173 Å, intensity 57
d = 2.143 Å, intensity 67
d = 2.136 Å, intensity 100
d = 2.082 Å, intensity 72
d = 2.076 Å, intensity 49

Crystal structure
Cell: 6.5557 6.5557 6.5557 Å, 137.58 98.07 96.97°
Fractional coordinates of all 14 atoms:
1 Tm 0.0000 0.0000 0.0000
2 Fe 0.0000 0.0000 0.5000
3 Fe 0.0000 0.5000 0.0000
4 Fe 0.2200 0.7200 0.5000
5 Fe 0.2212 0.5000 0.7212
6 Fe 0.3596 0.3596 0.0000
7 Fe 0.5000 0.0000 0.0000
8 Fe 0.5000 0.5000 0.5000
9 Fe 0.6404 0.6404 0.0000
10 Fe 0.7788 0.5000 0.2788
11 Fe 0.7800 0.2800 0.5000
12 Mo 0.3572 0.0000 0.3572
13 Mo 0.6428 0.0000 0.6428
14 N 0.0000 0.5000 0.5000


No. 4
Theoretical powder X-ray diffraction pattern of YFe11MoN for Cu Kα (λ = 1.5418 Å), from a PBE-relaxed structure.

Top 8 peaks for 2θ from 10° to 80°, in order of rising 2θ:
d = 2.457 Å, intensity 25
d = 2.449 Å, intensity 23
d = 2.392 Å, intensity 22
d = 2.147 Å, intensity 39
d = 2.139 Å, intensity 29
d = 2.129 Å, intensity 100
d = 2.089 Å, intensity 85
d = 1.878 Å, intensity 46

Crystal structure
Cell: 6.5160 6.5160 6.5160 Å, 136.93 97.54 97.95°
Fractional coordinates of all 14 atoms:
1 Y 0.0000 0.0000 0.0000
2 Fe 0.0024 0.0041 0.4972
3 Fe 0.0024 0.5052 0.9983
4 Fe 0.2281 0.7281 0.5000
5 Fe 0.2318 0.5090 0.7228
6 Fe 0.3659 0.0058 0.3601
7 Fe 0.5069 0.0041 0.0017
8 Fe 0.5069 0.5052 0.5028
9 Fe 0.6457 0.0058 0.6399
10 Fe 0.6455 0.6455 0.0000
11 Fe 0.7800 0.2800 0.5000
12 Fe 0.7863 0.5090 0.2772
13 Mo 0.3676 0.3676 0.0000
14 N 0.0044 0.5044 0.5000